This entry pairs a crystal structure of PaCuH8Pd2 with its simulated powder diffraction line list. Radiation: Cu Kα, 1.54184 Å. Structure: a crystal structure in Alexandria, relaxed with GGA-PBE.

Structure:
```
data_PaCuH8Pd2
_cell_length_a 4.8503
_cell_length_b 4.8503
_cell_length_c 6.2006
_cell_angle_alpha 90.00
_cell_angle_beta 90.00
_cell_angle_gamma 120.00
_symmetry_space_group_name_H-M 'P 1'
_symmetry_Int_Tables_number 1
_symmetry_space_group_name_Hall 'P 1'
loop_
_atom_site_label
_atom_site_fract_x
_atom_site_fract_y
_atom_site_fract_z
_atom_site_occupancy
Pa1 0.0000 0.0000 0.0000 1
Cu1 0.0000 0.0000 0.5000 1
H1 0.1463 0.2927 0.3157 1
H2 0.1463 0.8537 0.3157 1
H3 0.2927 0.1463 0.6843 1
H4 0.3333 0.6667 0.9041 1
H5 0.6667 0.3333 0.0959 1
H6 0.7073 0.8537 0.3157 1
H7 0.8537 0.1463 0.6843 1
H8 0.8537 0.7073 0.6843 1
Pd1 0.3333 0.6667 0.1714 1
Pd2 0.6667 0.3333 0.8286 1
```

Principal peaks in the range 2θ from 5° to 70°, sorted by position:
two_theta, I (rel.)
14.28, 69
21.15, 45
25.62, 62
36.00, 100
37.07, 82
39.92, 35
45.60, 13
49.13, 20
52.64, 35
64.03, 18
66.12, 34
66.82, 14

=====

This entry pairs a crystal structure of Sr3Os2O9 with its simulated powder diffraction line list. Radiation: Cu Kα, 1.54184 Å. Structure: a crystal structure in Alexandria, relaxed with GGA-PBE.

Structure:
```
data_Sr3Os2O9
_cell_length_a 7.2147
_cell_length_b 7.2147
_cell_length_c 7.2147
_cell_angle_alpha 86.24
_cell_angle_beta 86.24
_cell_angle_gamma 86.24
_symmetry_space_group_name_H-M 'P 1'
_symmetry_Int_Tables_number 1
_symmetry_space_group_name_Hall 'P 1'
loop_
_atom_site_label
_atom_site_fract_x
_atom_site_fract_y
_atom_site_fract_z
_atom_site_occupancy
Sr1 0.0881 0.7500 0.4119 1
Sr2 0.2500 0.5881 0.9119 1
Sr3 0.4119 0.0881 0.7500 1
Sr4 0.5881 0.9119 0.2500 1
Sr5 0.7500 0.4119 0.0881 1
Sr6 0.9119 0.2500 0.5881 1
Os1 0.1549 0.1549 0.1549 1
Os2 0.3451 0.3451 0.3451 1
Os3 0.6549 0.6549 0.6549 1
Os4 0.8451 0.8451 0.8451 1
O1 0.0786 0.9093 0.7505 1
O2 0.0815 0.4185 0.2500 1
O3 0.0907 0.2495 0.9214 1
O4 0.2500 0.0815 0.4185 1
O5 0.2505 0.4093 0.5786 1
O6 0.2495 0.9214 0.0907 1
O7 0.4093 0.5786 0.2505 1
O8 0.4185 0.2500 0.0815 1
O9 0.4214 0.7495 0.5907 1
O10 0.5786 0.2505 0.4093 1
O11 0.5815 0.7500 0.9185 1
O12 0.5907 0.4214 0.7495 1
O13 0.7505 0.0786 0.9093 1
O14 0.7495 0.5907 0.4214 1
O15 0.7500 0.9185 0.5815 1
O16 0.9093 0.7505 0.0786 1
O17 0.9185 0.5815 0.7500 1
O18 0.9214 0.0907 0.2495 1
```

Principal peaks in the range 2θ from 5° to 70°, sorted by position:
two_theta, I (rel.)
16.90, 23
17.99, 81
27.06, 29
28.83, 29
31.42, 100
38.90, 24
41.93, 32
44.85, 44
55.79, 33
55.94, 20
65.44, 29
65.58, 20

=====

This entry pairs a crystal structure of Nd2AgF8 with its simulated powder diffraction line list. Radiation: Cu Kα, 1.54184 Å. Structure: a crystal structure in Alexandria, relaxed with GGA-PBE.

Structure:
```
data_Nd2AgF8
_cell_length_a 6.7827
_cell_length_b 6.7827
_cell_length_c 4.3954
_cell_angle_alpha 96.66
_cell_angle_beta 96.66
_cell_angle_gamma 112.72
_symmetry_space_group_name_H-M 'P 1'
_symmetry_Int_Tables_number 1
_symmetry_space_group_name_Hall 'P 1'
loop_
_atom_site_label
_atom_site_fract_x
_atom_site_fract_y
_atom_site_fract_z
_atom_site_occupancy
Nd1 0.1688 0.8312 0.0000 1
Nd2 0.8312 0.1688 0.0000 1
Ag1 0.5000 0.5000 0.9991 1
F1 0.1201 0.1201 0.2672 1
F2 0.1700 0.4582 0.9363 1
F3 0.2308 0.7678 0.4997 1
F4 0.4582 0.1700 0.9363 1
F5 0.5414 0.8298 0.0625 1
F6 0.7678 0.2308 0.4997 1
F7 0.8298 0.5414 0.0625 1
F8 0.8796 0.8796 0.7332 1
```

Principal peaks in the range 2θ from 5° to 70°, sorted by position:
two_theta, I (rel.)
20.67, 100
24.22, 55
26.61, 73
28.46, 33
32.27, 34
35.51, 47
42.05, 18
44.12, 50
45.50, 24
48.07, 17
52.71, 36
53.12, 18

=====

This entry pairs a crystal structure of ZnGeO6F6 with its simulated powder diffraction line list. Radiation: Cu Kα, 1.54184 Å. Structure: a crystal structure in Alexandria, relaxed with GGA-PBE.

Structure:
```
data_ZnGeO6F6
_cell_length_a 5.7100
_cell_length_b 5.7100
_cell_length_c 5.7100
_cell_angle_alpha 94.62
_cell_angle_beta 94.62
_cell_angle_gamma 94.62
_symmetry_space_group_name_H-M 'P 1'
_symmetry_Int_Tables_number 1
_symmetry_space_group_name_Hall 'P 1'
loop_
_atom_site_label
_atom_site_fract_x
_atom_site_fract_y
_atom_site_fract_z
_atom_site_occupancy
Zn1 0.0000 0.0000 0.0000 1
Ge1 0.5000 0.5000 0.5000 1
O1 0.0387 0.9029 0.6447 1
O2 0.0971 0.3553 0.9613 1
O3 0.3553 0.9613 0.0971 1
O4 0.6447 0.0387 0.9029 1
O5 0.9029 0.6447 0.0387 1
O6 0.9613 0.0971 0.3553 1
F1 0.2778 0.2831 0.5890 1
F2 0.2831 0.5890 0.2778 1
F3 0.4110 0.7222 0.7169 1
F4 0.5890 0.2778 0.2831 1
F5 0.7169 0.4110 0.7222 1
F6 0.7222 0.7169 0.4110 1
```

Principal peaks in the range 2θ from 5° to 70°, sorted by position:
two_theta, I (rel.)
21.17, 100
23.14, 78
26.42, 13
31.56, 24
34.10, 12
38.32, 62
47.29, 19
52.35, 30
54.40, 12
58.15, 17
59.02, 15
61.59, 18

=====

This entry pairs a crystal structure of Pm12InCu5 with its simulated powder diffraction line list. Radiation: Cu Kα, 1.54184 Å. Structure: a crystal structure in Alexandria, relaxed with GGA-PBE.

Structure:
```
data_Pm12InCu5
_cell_length_a 8.6747
_cell_length_b 8.6747
_cell_length_c 8.6747
_cell_angle_alpha 112.72
_cell_angle_beta 110.14
_cell_angle_gamma 105.63
_symmetry_space_group_name_H-M 'P 1'
_symmetry_Int_Tables_number 1
_symmetry_space_group_name_Hall 'P 1'
loop_
_atom_site_label
_atom_site_fract_x
_atom_site_fract_y
_atom_site_fract_z
_atom_site_occupancy
Pm1 0.0438 0.2324 0.8114 1
Pm2 0.1801 0.2790 0.4591 1
Pm3 0.1801 0.7210 0.9011 1
Pm4 0.3208 0.0162 0.6954 1
Pm5 0.3208 0.6255 0.3046 1
Pm6 0.4210 0.2324 0.1886 1
Pm7 0.5790 0.7676 0.8114 1
Pm8 0.6792 0.3745 0.6954 1
Pm9 0.6792 0.9838 0.3046 1
Pm10 0.8199 0.2790 0.0989 1
Pm11 0.8199 0.7210 0.5409 1
Pm12 0.9562 0.7676 0.1886 1
In1 0.5000 0.5000 0.0000 1
Cu1 0.0000 0.0000 0.0000 1
Cu2 0.1180 0.6180 0.5000 1
Cu3 0.3566 0.0000 0.3566 1
Cu4 0.6434 0.0000 0.6434 1
Cu5 0.8820 0.3820 0.5000 1
```

Principal peaks in the range 2θ from 5° to 70°, sorted by position:
two_theta, I (rel.)
28.26, 21
29.29, 26
31.01, 100
32.95, 54
33.33, 62
33.98, 44
34.21, 18
34.39, 21
37.43, 27
51.59, 25
55.52, 20
58.22, 30

=====

This entry pairs a crystal structure of Tb6ZnPd2 with its simulated powder diffraction line list. Radiation: Cu Kα, 1.54184 Å. Structure: a crystal structure in Alexandria, relaxed with GGA-PBE.

Structure:
```
data_Tb6ZnPd2
_cell_length_a 8.5105
_cell_length_b 8.5105
_cell_length_c 8.5105
_cell_angle_alpha 112.37
_cell_angle_beta 110.53
_cell_angle_gamma 105.59
_symmetry_space_group_name_H-M 'P 1'
_symmetry_Int_Tables_number 1
_symmetry_space_group_name_Hall 'P 1'
loop_
_atom_site_label
_atom_site_fract_x
_atom_site_fract_y
_atom_site_fract_z
_atom_site_occupancy
Tb1 0.0513 0.2412 0.8102 1
Tb2 0.1780 0.2811 0.4591 1
Tb3 0.1780 0.7189 0.8968 1
Tb4 0.3289 0.0305 0.7016 1
Tb5 0.3289 0.6273 0.2984 1
Tb6 0.4310 0.2412 0.1898 1
Tb7 0.5690 0.7588 0.8102 1
Tb8 0.6711 0.3727 0.7016 1
Tb9 0.6711 0.9695 0.2984 1
Tb10 0.8220 0.2811 0.1032 1
Tb11 0.8220 0.7189 0.5409 1
Tb12 0.9487 0.7588 0.1898 1
Zn1 0.0000 0.0000 0.0000 1
Zn2 0.5000 0.5000 0.0000 1
Pd1 0.1330 0.6330 0.5000 1
Pd2 0.3413 0.0000 0.3413 1
Pd3 0.6587 0.0000 0.6587 1
Pd4 0.8670 0.3670 0.5000 1
```

Principal peaks in the range 2θ from 5° to 70°, sorted by position:
two_theta, I (rel.)
25.56, 23
29.76, 22
31.62, 100
33.55, 81
34.09, 88
34.71, 80
35.01, 30
38.00, 42
38.76, 29
39.65, 33
57.99, 23
59.32, 42

=====

This entry pairs a crystal structure of HoPaHgC with its simulated powder diffraction line list. Radiation: Cu Kα, 1.54184 Å. Structure: a crystal structure in Alexandria, relaxed with GGA-PBE.

Structure:
```
data_HoPaHgC
_cell_length_a 8.2074
_cell_length_b 8.2074
_cell_length_c 8.2074
_cell_angle_alpha 24.78
_cell_angle_beta 24.78
_cell_angle_gamma 24.78
_symmetry_space_group_name_H-M 'P 1'
_symmetry_Int_Tables_number 1
_symmetry_space_group_name_Hall 'P 1'
loop_
_atom_site_label
_atom_site_fract_x
_atom_site_fract_y
_atom_site_fract_z
_atom_site_occupancy
Ho1 0.0000 0.0000 0.0000 1
Pa1 0.7821 0.7821 0.7821 1
Hg1 0.2270 0.2270 0.2270 1
C1 0.3940 0.3940 0.3940 1
```

Principal peaks in the range 2θ from 5° to 70°, sorted by position:
two_theta, I (rel.)
29.52, 30
30.24, 31
32.98, 100
33.82, 45
34.91, 93
39.65, 16
51.92, 44
58.72, 21
62.43, 16
62.89, 16
63.41, 46
64.10, 16

=====

This entry pairs a crystal structure of CsPCBr with its simulated powder diffraction line list. Radiation: Cu Kα, 1.54184 Å. Structure: a crystal structure in Alexandria, relaxed with GGA-PBE.

Structure:
```
data_CsPCBr
_cell_length_a 6.2122
_cell_length_b 6.2122
_cell_length_c 3.3460
_cell_angle_alpha 90.58
_cell_angle_beta 90.58
_cell_angle_gamma 59.38
_symmetry_space_group_name_H-M 'P 1'
_symmetry_Int_Tables_number 1
_symmetry_space_group_name_Hall 'P 1'
loop_
_atom_site_label
_atom_site_fract_x
_atom_site_fract_y
_atom_site_fract_z
_atom_site_occupancy
Cs1 0.0000 0.0000 0.0000 1
P1 0.6614 0.6614 0.0079 1
C1 0.5845 0.5845 0.5051 1
Br1 0.3970 0.3970 0.4973 1
```

Principal peaks in the range 2θ from 5° to 70°, sorted by position:
two_theta, I (rel.)
16.43, 100
28.74, 94
29.02, 74
31.46, 74
31.63, 90
33.53, 35
39.38, 22
39.80, 24
44.48, 31
51.27, 18
53.00, 31
66.07, 17

=====

This entry pairs a crystal structure of TbPmHo2S6 with its simulated powder diffraction line list. Radiation: Cu Kα, 1.54184 Å. Structure: a crystal structure in Alexandria, relaxed with GGA-PBE.

Structure:
```
data_TbPmHo2S6
_cell_length_a 7.3735
_cell_length_b 7.3735
_cell_length_c 7.3735
_cell_angle_alpha 56.33
_cell_angle_beta 56.33
_cell_angle_gamma 56.33
_symmetry_space_group_name_H-M 'P 1'
_symmetry_Int_Tables_number 1
_symmetry_space_group_name_Hall 'P 1'
loop_
_atom_site_label
_atom_site_fract_x
_atom_site_fract_y
_atom_site_fract_z
_atom_site_occupancy
Tb1 0.0000 0.0000 0.0000 1
Pm1 0.5035 0.5035 0.5035 1
Ho1 0.3000 0.3000 0.3000 1
Ho2 0.7980 0.7980 0.7980 1
S1 0.0915 0.4042 0.6961 1
S2 0.1856 0.9145 0.5930 1
S3 0.4042 0.6961 0.0915 1
S4 0.5930 0.1856 0.9145 1
S5 0.6961 0.0915 0.4042 1
S6 0.9145 0.5930 0.1856 1
```

Principal peaks in the range 2θ from 5° to 70°, sorted by position:
two_theta, I (rel.)
17.55, 40
24.22, 99
25.59, 100
35.52, 48
38.97, 80
44.29, 48
45.12, 49
51.56, 25
52.59, 15
58.70, 16
61.11, 20
64.82, 20

=====

This entry pairs a crystal structure of La5Hg4Ge with its simulated powder diffraction line list. Radiation: Cu Kα, 1.54184 Å. Structure: a crystal structure in Alexandria, relaxed with GGA-PBE.

Structure:
```
data_La5Hg4Ge
_cell_length_a 3.9313
_cell_length_b 3.9313
_cell_length_c 18.9177
_cell_angle_alpha 90.00
_cell_angle_beta 90.00
_cell_angle_gamma 90.00
_symmetry_space_group_name_H-M 'P 1'
_symmetry_Int_Tables_number 1
_symmetry_space_group_name_Hall 'P 1'
loop_
_atom_site_label
_atom_site_fract_x
_atom_site_fract_y
_atom_site_fract_z
_atom_site_occupancy
La1 0.0000 0.0000 0.0000 1
La2 0.0000 0.0000 0.2065 1
La3 0.0000 0.0000 0.4167 1
La4 0.0000 0.0000 0.5833 1
La5 0.0000 0.0000 0.7935 1
Hg1 0.5000 0.5000 0.1036 1
Hg2 0.5000 0.5000 0.3071 1
Hg3 0.5000 0.5000 0.6929 1
Hg4 0.5000 0.5000 0.8964 1
Ge1 0.5000 0.5000 0.5000 1
```

Principal peaks in the range 2θ from 5° to 70°, sorted by position:
two_theta, I (rel.)
26.72, 3
29.55, 7
32.20, 57
32.85, 100
46.18, 21
48.10, 7
54.75, 4
57.83, 40
59.07, 15
64.95, 3
67.37, 7
68.88, 10

=====

This entry pairs a crystal structure of Ba8Pt with its simulated powder diffraction line list. Radiation: Cu Kα, 1.54184 Å. Structure: a crystal structure in Alexandria, relaxed with GGA-PBE.

Structure:
```
data_Ba8Pt
_cell_length_a 10.6736
_cell_length_b 10.6736
_cell_length_c 10.6736
_cell_angle_alpha 92.44
_cell_angle_beta 92.44
_cell_angle_gamma 156.18
_symmetry_space_group_name_H-M 'P 1'
_symmetry_Int_Tables_number 1
_symmetry_space_group_name_Hall 'P 1'
loop_
_atom_site_label
_atom_site_fract_x
_atom_site_fract_y
_atom_site_fract_z
_atom_site_occupancy
Ba1 0.0000 0.3356 0.3356 1
Ba2 0.0000 0.6644 0.6644 1
Ba3 0.3356 0.0000 0.3356 1
Ba4 0.3693 0.3693 0.7385 1
Ba5 0.3693 0.6307 0.0000 1
Ba6 0.6307 0.3693 0.0000 1
Ba7 0.6307 0.6307 0.2615 1
Ba8 0.6644 0.0000 0.6644 1
Pt1 0.0000 0.0000 0.0000 1
```

Principal peaks in the range 2θ from 5° to 70°, sorted by position:
two_theta, I (rel.)
8.47, 14
11.98, 22
25.59, 49
27.16, 100
29.78, 11
35.44, 13
36.50, 12
36.63, 15
40.98, 10
46.09, 24
48.94, 17
57.25, 11

=====

This entry pairs a crystal structure of BaUTlSe4 with its simulated powder diffraction line list. Radiation: Cu Kα, 1.54184 Å. Structure: a crystal structure in Alexandria, relaxed with GGA-PBE.

Structure:
```
data_BaUTlSe4
_cell_length_a 9.0462
_cell_length_b 9.0462
_cell_length_c 9.0462
_cell_angle_alpha 144.92
_cell_angle_beta 144.92
_cell_angle_gamma 50.45
_symmetry_space_group_name_H-M 'P 1'
_symmetry_Int_Tables_number 1
_symmetry_space_group_name_Hall 'P 1'
loop_
_atom_site_label
_atom_site_fract_x
_atom_site_fract_y
_atom_site_fract_z
_atom_site_occupancy
Ba1 0.0000 0.0000 0.0000 1
U1 0.6400 0.6400 0.0000 1
Tl1 0.2825 0.2825 0.0000 1
Se1 0.1329 0.6329 0.5000 1
Se2 0.4738 0.4738 0.0000 1
Se3 0.6329 0.1329 0.5000 1
Se4 0.8024 0.8024 0.0000 1
```

Principal peaks in the range 2θ from 5° to 70°, sorted by position:
two_theta, I (rel.)
10.81, 29
23.06, 100
31.89, 40
32.85, 76
40.52, 37
46.44, 17
47.14, 49
53.11, 18
56.21, 9
58.05, 10
58.64, 15
63.87, 15